Calculated X-ray powder pattern
Compound: NdEr2
Radiation: CuKα
Structure: a crystal structure in Alexandria, relaxed with PBE
Neutral-atom scattering factors, no anomalous dispersion.

a = 6.2251 Å, b = 3.5933 Å, c = 8.8372 Å
α = 90.00°, β = 103.67°, γ = 90.00°
Space group C2/m (No. 12)
One atom of each set of equivalent atoms:
Nd  0.0000  0.0000  0.0000 [2 per cell]
Er  0.2206  0.0000  0.6625 [4 per cell]

Most intense lines, 2θ from 10° to 90°, by angle:
2θ (°), I/Imax
28.90, 36
29.53, 22
31.25, 52
31.94, 100
33.64, 95
50.81, 41
58.25, 21
60.87, 47